# Ba2LaCl7
Calculated PXRD pattern, a wavelength of 1.5418 Å. Input: a cell relaxed with PBE.
Kinematic intensities with the Lorentz-polarization factor, no thermal factor.

Largest 12 diffraction maxima, by intensity, 2θ from 5° to 70°:
- 2θ 18.32, I 100
- 2θ 31.36, I 88
- 2θ 23.66, I 82
- 2θ 31.56, I 76
- 2θ 35.81, I 75
- 2θ 19.05, I 73
- 2θ 20.16, I 73
- 2θ 19.37, I 67
- 2θ 22.38, I 60
- 2θ 20.05, I 56
- 2θ 24.44, I 47
- 2θ 29.36, I 45

Atomic structure:
```
Ba2LaCl7
1.0
7.292 0.000 0.000
0.000 14.213 0.000
-0.558 0.000 12.457
Ba La Cl
8 4 28
Direct
0.207 0.000 0.285
0.224 0.764 0.881
0.239 0.401 0.380
0.269 0.157 0.769
0.731 0.657 0.231
0.761 0.901 0.620
0.776 0.264 0.119
0.793 0.500 0.715
0.285 0.694 0.465
0.305 0.469 0.957
0.695 0.969 0.043
0.715 0.194 0.535
0.003 0.083 0.039
0.011 0.562 0.488
0.015 0.826 0.402
0.070 0.321 0.894
0.103 0.955 0.778
0.106 0.211 0.283
0.281 0.625 0.256
0.304 0.544 0.751
0.398 0.777 0.653
0.398 0.863 0.110
0.406 0.390 0.150
0.450 0.050 0.521
0.458 0.320 0.614
0.471 0.128 0.999
0.529 0.628 0.001
0.542 0.820 0.386
0.550 0.550 0.479
0.594 0.890 0.850
0.602 0.277 0.347
0.602 0.363 0.890
0.696 0.044 0.249
0.719 0.125 0.744
0.894 0.711 0.717
0.897 0.455 0.222
0.930 0.821 0.106
0.985 0.326 0.598
0.989 0.062 0.512
0.997 0.583 0.961
```


# Li2UN2
Calculated PXRD pattern, a wavelength of 1.5418 Å. Input: a cell relaxed with PBE.
Kinematic intensities with the Lorentz-polarization factor, no thermal factor.

Largest 12 diffraction maxima, by intensity, 2θ from 5° to 70°:
- 2θ 33.79, I 100
- 2θ 16.00, I 93
- 2θ 29.57, I 57
- 2θ 44.37, I 51
- 2θ 55.21, I 24
- 2θ 58.60, I 22
- 2θ 52.46, I 19
- 2θ 63.87, I 17
- 2θ 62.98, I 15
- 2θ 32.33, I 15
- 2θ 61.37, I 8
- 2θ 49.36, I 5

Atomic structure:
```
Li2UN2
1.0
6.043 0.000 0.000
-3.021 5.233 0.000
0.000 0.000 5.539
Li U N
6 3 6
Direct
0.016 0.342 0.394
0.326 0.984 0.394
0.342 0.326 0.606
0.658 0.674 0.394
0.674 0.016 0.606
0.984 0.658 0.606
0.000 0.000 0.000
0.333 0.667 0.993
0.667 0.333 0.007
0.000 0.334 0.775
0.000 0.666 0.225
0.334 0.000 0.775
0.334 0.334 0.225
0.666 0.000 0.225
0.666 0.666 0.775
```


# Ca3AlN3
Calculated PXRD pattern, a wavelength of 1.5418 Å. Input: a cell relaxed with PBE.
Kinematic intensities with the Lorentz-polarization factor, no thermal factor.

Largest 12 diffraction maxima, by intensity, 2θ from 5° to 70°:
- 2θ 39.49, I 100
- 2θ 33.47, I 81
- 2θ 34.07, I 70
- 2θ 32.72, I 60
- 2θ 30.67, I 48
- 2θ 40.87, I 36
- 2θ 32.92, I 32
- 2θ 31.92, I 32
- 2θ 27.18, I 29
- 2θ 42.80, I 29
- 2θ 36.49, I 28
- 2θ 49.99, I 23

Atomic structure:
```
Ca3AlN3
1.0
6.902 0.000 0.000
0.000 6.139 0.000
-0.651 0.000 9.834
Ca Al N
12 4 12
Direct
0.077 0.141 0.150
0.077 0.359 0.650
0.354 0.718 0.806
0.354 0.782 0.306
0.371 0.206 0.924
0.371 0.294 0.424
0.629 0.706 0.576
0.629 0.794 0.076
0.646 0.218 0.694
0.646 0.282 0.194
0.923 0.641 0.350
0.923 0.859 0.850
0.160 0.591 0.060
0.160 0.909 0.560
0.840 0.091 0.440
0.840 0.409 0.940
0.104 0.038 0.382
0.104 0.462 0.882
0.259 0.623 0.529
0.259 0.877 0.029
0.339 0.068 0.677
0.339 0.432 0.177
0.661 0.568 0.823
0.661 0.932 0.323
0.741 0.123 0.971
0.741 0.377 0.471
0.896 0.538 0.118
0.896 0.962 0.618
```


# NaMgGaS3O12
Calculated PXRD pattern, a wavelength of 1.5418 Å. Input: a cell relaxed with PBE.
Kinematic intensities with the Lorentz-polarization factor, no thermal factor.

Largest 12 diffraction maxima, by intensity, 2θ from 5° to 70°:
- 2θ 24.03, I 100
- 2θ 31.92, I 47
- 2θ 14.37, I 30
- 2θ 28.98, I 20
- 2θ 20.80, I 19
- 2θ 49.22, I 18
- 2θ 19.94, I 17
- 2θ 36.45, I 17
- 2θ 57.07, I 11
- 2θ 32.28, I 11
- 2θ 62.77, I 9
- 2θ 52.49, I 9

Atomic structure:
```
NaMgGaS3O12
1.0
4.270 2.465 7.434
-4.270 2.465 7.434
0.000 -4.930 7.434
Na Mg Ga S O
2 2 2 6 24
Direct
0.000 0.000 0.000
0.500 0.500 0.500
0.353 0.353 0.353
0.853 0.853 0.853
0.151 0.151 0.151
0.651 0.651 0.651
0.042 0.756 0.458
0.256 0.542 0.958
0.458 0.042 0.756
0.542 0.958 0.256
0.756 0.458 0.042
0.958 0.256 0.542
0.011 0.783 0.620
0.064 0.927 0.279
0.089 0.716 0.929
0.120 0.283 0.511
0.216 0.589 0.429
0.232 0.375 0.981
0.279 0.064 0.927
0.283 0.511 0.120
0.375 0.981 0.232
0.427 0.564 0.779
0.429 0.216 0.589
0.481 0.875 0.732
0.511 0.120 0.283
0.564 0.779 0.427
0.589 0.429 0.216
0.620 0.011 0.783
0.716 0.929 0.089
0.732 0.481 0.875
0.779 0.427 0.564
0.783 0.620 0.011
0.875 0.732 0.481
0.927 0.279 0.064
0.929 0.089 0.716
0.981 0.232 0.375
```


# U5P4S
Calculated PXRD pattern, a wavelength of 1.5418 Å. Input: a cell relaxed with PBE.
Kinematic intensities with the Lorentz-polarization factor, no thermal factor.

Largest 11 diffraction maxima, by intensity, 2θ from 5° to 70°:
- 2θ 32.38, I 100
- 2θ 27.86, I 83
- 2θ 46.23, I 38
- 2θ 46.67, I 36
- 2θ 55.04, I 27
- 2θ 28.20, I 27
- 2θ 57.57, I 20
- 2θ 54.85, I 14
- 2θ 55.42, I 13
- 2θ 67.79, I 12
- 2θ 58.32, I 6

Atomic structure:
```
U5P4S
1.0
1.964 1.134 15.822
-1.964 1.134 15.822
0.000 -2.267 15.822
U P S
5 4 1
Direct
0.000 0.000 0.000
0.200 0.200 0.200
0.400 0.400 0.400
0.600 0.600 0.600
0.800 0.800 0.800
0.100 0.100 0.100
0.300 0.300 0.300
0.700 0.700 0.700
0.900 0.900 0.900
0.500 0.500 0.500
```